1.
This entry pairs a crystal structure of La6SmY2Mg with its theoretical X-ray diffraction stick pattern. Radiation: Cu Kα. Structure: a structure optimized by DFT (GGA-PBE).
Neutral-atom scattering factors, no anomalous dispersion.

Most intense lines, 2θ = 5–70°, in order of falling intensity:
hkl	Position (°2θ)	d [Å]	I/Imax
0 2 3	31.5	2.839	100
3 1 1	29.2	3.055	58
1 3 2	29.4	3.042	39
2 4 0	30.9	2.898	36
3 1 -2	30.0	2.983	34
2 2 2	30.4	2.944	26
3 1 -1	26.4	3.377	24
1 3 -2	27.5	3.241	22
1 3 1	23.6	3.767	17
2 2 -3	33.6	2.668	15

Cell and atoms:
```
data_La6SmY2Mg
_cell_length_a 10.6980
_cell_length_b 13.8664
_cell_length_c 9.4585
_cell_angle_alpha 90.00
_cell_angle_beta 99.14
_cell_angle_gamma 90.00
_symmetry_space_group_name_H-M 'C 1 2/c 1'
_symmetry_Int_Tables_number 15
loop_
_symmetry_equiv_pos_as_xyz
'x,y,z'
'-x,-y,-z'
'-x,y,-z+1/2'
'x,-y,z+1/2'
'x+1/2,y+1/2,z'
'-x+1/2,-y+1/2,-z'
'-x+1/2,y+1/2,-z+1/2'
'x+1/2,-y+1/2,z+1/2'
loop_
_atom_site_label
_atom_site_fract_x
_atom_site_fract_y
_atom_site_fract_z
_atom_site_occupancy
La1 0.0575 0.1219 0.0994 1
La2 0.0881 0.3318 0.9159 1
La3 0.2462 0.2893 0.3292 1
Sm1 0.0000 0.4284 0.2500 1
Y1 0.2311 0.4678 0.5965 1
Mg1 0.0000 0.0949 0.7500 1
```

2.
This entry pairs a crystal structure of PrEr6Th4 with its theoretical X-ray diffraction stick pattern. Radiation: Cu Kα. Structure: a structure optimized by DFT (GGA-PBE).
Neutral-atom scattering factors, no anomalous dispersion.

Most intense lines, 2θ = 5–70°, in order of falling intensity:
hkl	Position (°2θ)	d [Å]	I/Imax
0 1 11	31.5	2.838	100
0 2 0	30.6	2.925	56
1 1 8	36.5	2.463	46
1 1 6	33.9	2.645	35
1 0 3	27.1	3.288	27
2 1 11	63.5	1.465	26
0 3 11	54.9	1.671	20
1 0 5	28.9	3.085	19
1 2 3	41.3	2.185	18
1 1 4	31.9	2.804	15

Cell and atoms:
```
data_PrEr6Th4
_cell_length_a 3.4212
_cell_length_b 5.8497
_cell_length_c 35.6982
_cell_angle_alpha 90.00
_cell_angle_beta 90.00
_cell_angle_gamma 90.00
_symmetry_space_group_name_H-M 'I m m m'
_symmetry_Int_Tables_number 71
_symmetry_space_group_name_Hall '-I 2 2'
loop_
_atom_site_label
_atom_site_fract_x
_atom_site_fract_y
_atom_site_fract_z
_atom_site_occupancy
Pr1 0.0000 0.0000 0.0000 1
Er1 0.0000 0.5000 0.1317 1
Er2 0.0000 0.5000 0.2330 1
Er3 0.0000 0.5000 0.4026 1
Th1 0.0000 0.0000 0.1825 1
Th2 0.0000 0.0000 0.4549 1
```

3.
This entry pairs a crystal structure of TaTl2Cu2S6 with its theoretical X-ray diffraction stick pattern. Radiation: Cu Kα. Structure: a structure optimized by DFT (GGA-PBE).
Neutral-atom scattering factors, no anomalous dispersion.

Most intense lines, 2θ = 5–70°, in order of falling intensity:
hkl	Position (°2θ)	d [Å]	I/Imax
1 1 0	25.6	3.483	100
0 1 5	27.5	3.242	75
1 2 5	46.3	1.961	44
0 2 4	35.1	2.555	33
2 0 5	37.9	2.373	33
2 2 0	52.6	1.741	26
1 0 4	23.7	3.759	25
3 0 0	45.1	2.011	22
1 0 1	15.4	5.755	19
1 1 9	50.1	1.821	18

Cell and atoms:
```
data_TaTl2Cu2S6
_cell_length_a 6.9653
_cell_length_b 6.9653
_cell_length_c 19.2214
_cell_angle_alpha 90.00
_cell_angle_beta 90.00
_cell_angle_gamma 120.00
_symmetry_space_group_name_H-M 'R -3 m'
_symmetry_Int_Tables_number 166
_symmetry_space_group_name_Hall '-R 3 2"'
loop_
_atom_site_label
_atom_site_fract_x
_atom_site_fract_y
_atom_site_fract_z
_atom_site_occupancy
Ta1 0.0000 0.0000 0.0000 1
Tl1 0.0000 0.0000 0.2209 1
Cu1 0.0000 0.0000 0.4020 1
S1 0.0236 0.5118 0.7478 1
```

4.
This entry pairs a crystal structure of Sm7Ga2Ir2 with its theoretical X-ray diffraction stick pattern. Radiation: Cu Kα. Structure: a structure optimized by DFT (GGA-PBE).
Neutral-atom scattering factors, no anomalous dispersion.

Most intense lines, 2θ = 5–70°, in order of falling intensity:
hkl	Position (°2θ)	d [Å]	I/Imax
2 2 2	37.5	2.399	100
0 4 0	32.4	2.762	54
1 3 2	36.9	2.434	51
2 0 1	25.4	3.508	41
2 2 0	27.4	3.259	38
2 0 2	33.7	2.663	30
0 0 1	12.5	7.087	29
1 1 2	28.7	3.113	29
4 0 0	44.9	2.018	21
0 0 4	51.6	1.772	19

Cell and atoms:
```
data_Sm7Ga2Ir2
_cell_length_a 8.0732
_cell_length_b 11.0461
_cell_length_c 7.0870
_cell_angle_alpha 90.00
_cell_angle_beta 90.00
_cell_angle_gamma 90.00
_symmetry_space_group_name_H-M 'C m m m'
_symmetry_Int_Tables_number 65
_symmetry_space_group_name_Hall '-C 2 2'
loop_
_atom_site_label
_atom_site_fract_x
_atom_site_fract_y
_atom_site_fract_z
_atom_site_occupancy
Sm1 0.0000 0.0000 0.0000 1
Sm2 0.0000 0.5000 0.2551 1
Sm3 0.2500 0.2500 0.2600 1
Ga1 0.1630 0.0000 0.5000 1
Ir1 0.0000 0.2922 0.0000 1
```

5.
This entry pairs a crystal structure of PuCd4Hg3 with its theoretical X-ray diffraction stick pattern. Radiation: Cu Kα. Structure: a structure optimized by DFT (GGA-PBE).
Neutral-atom scattering factors, no anomalous dispersion.

Most intense lines, 2θ = 5–70°, in order of falling intensity:
hkl	Position (°2θ)	d [Å]	I/Imax
3 1 -1	35.3	2.544	100
1 1 -3	38.4	2.345	78
2 0 2	32.0	2.793	63
4 0 -4	33.4	2.682	56
0 2 0	58.8	1.571	33
6 0 -2	41.6	2.170	31
5 1 1	57.0	1.615	25
1 1 5	63.5	1.466	17
5 1 -7	65.1	1.433	16
2 0 -6	51.9	1.762	16

Cell and atoms:
```
data_PuCd4Hg3
_cell_length_a 13.3563
_cell_length_b 3.1412
_cell_length_c 11.2717
_cell_angle_alpha 90.00
_cell_angle_beta 125.57
_cell_angle_gamma 90.00
_symmetry_space_group_name_H-M 'C 1 2/m 1'
_symmetry_Int_Tables_number 12
loop_
_symmetry_equiv_pos_as_xyz
'x,y,z'
'-x,-y,-z'
'-x,y,-z'
'x,-y,z'
'x+1/2,y+1/2,z'
'-x+1/2,-y+1/2,-z'
'-x+1/2,y+1/2,-z'
'x+1/2,-y+1/2,z'
loop_
_atom_site_label
_atom_site_fract_x
_atom_site_fract_y
_atom_site_fract_z
_atom_site_occupancy
Pu1 0.0000 0.0000 0.0000 1
Cd1 0.1268 0.0000 0.3751 1
Cd2 0.2421 0.0000 0.7360 1
Hg1 0.0000 0.5000 0.5000 1
Hg2 0.1262 0.5000 0.8678 1
```

6.
This entry pairs a crystal structure of TbTeCl with its theoretical X-ray diffraction stick pattern. Radiation: Cu Kα. Structure: a structure optimized by DFT (GGA-PBE).
Neutral-atom scattering factors, no anomalous dispersion.

Most intense lines, 2θ = 5–70°, in order of falling intensity:
hkl	Position (°2θ)	d [Å]	I/Imax
0 0 1	8.0	11.107	100
1 1 0	30.0	2.975	34
1 1 1	31.0	2.882	25
0 2 0	39.8	2.263	21
1 -1 1	31.2	2.868	16
0 0 3	24.0	3.703	12
0 0 2	16.0	5.553	10
1 0 -3	33.3	2.691	10
1 0 3	33.0	2.711	9
2 0 0	46.0	1.975	9

Cell and atoms:
```
data_TbTeCl
_cell_length_a 3.9499
_cell_length_b 4.5247
_cell_length_c 11.1082
_cell_angle_alpha 89.21
_cell_angle_beta 89.57
_cell_angle_gamma 90.00
_symmetry_space_group_name_H-M 'P -1'
_symmetry_Int_Tables_number 2
loop_
_symmetry_equiv_pos_as_xyz
'x,y,z'
'-x,-y,-z'
loop_
_atom_site_label
_atom_site_fract_x
_atom_site_fract_y
_atom_site_fract_z
_atom_site_occupancy
Tb1 0.2457 0.2433 0.1914 1
Te1 0.2521 0.2536 0.8988 1
Cl1 0.2579 0.7625 0.6405 1
```

7.
This entry pairs a crystal structure of KPdF4 with its theoretical X-ray diffraction stick pattern. Radiation: Cu Kα. Structure: a structure optimized by DFT (GGA-PBE).
Neutral-atom scattering factors, no anomalous dispersion.

Most intense lines, 2θ = 5–70°, in order of falling intensity:
hkl	Position (°2θ)	d [Å]	I/Imax
1 1 0	14.7	6.044	100
2 0 2	36.3	2.472	21
1 1 2	30.0	2.981	19
0 2 0	15.6	5.684	14
3 1 2	47.2	1.926	12
0 4 0	31.5	2.842	11
2 4 2	48.8	1.865	10
2 2 0	29.6	3.022	9
1 1 1	19.6	4.533	9
1 3 0	26.6	3.347	8

Cell and atoms:
```
data_KPdF4
_cell_length_a 7.1368
_cell_length_b 11.3683
_cell_length_c 6.8532
_cell_angle_alpha 90.00
_cell_angle_beta 90.00
_cell_angle_gamma 90.00
_symmetry_space_group_name_H-M 'C c c m'
_symmetry_Int_Tables_number 66
_symmetry_space_group_name_Hall '-C 2 2c'
loop_
_atom_site_label
_atom_site_fract_x
_atom_site_fract_y
_atom_site_fract_z
_atom_site_occupancy
K1 0.2500 0.2500 0.0000 1
Pd1 0.0000 0.0000 0.2500 1
F1 0.0000 0.1721 0.2500 1
F2 0.1748 0.0039 0.0000 1
```

8.
This entry pairs a crystal structure of KTlPbI4 with its theoretical X-ray diffraction stick pattern. Radiation: Cu Kα. Structure: a structure optimized by DFT (GGA-PBE).
Neutral-atom scattering factors, no anomalous dispersion.

Most intense lines, 2θ = 5–70°, in order of falling intensity:
hkl	Position (°2θ)	d [Å]	I/Imax
2 0 0	28.3	3.151	100
2 0 6	41.8	2.160	47
1 0 5	28.8	3.099	46
1 1 0	19.9	4.457	46
0 0 2	9.9	8.895	42
0 0 6	30.1	2.967	38
2 1 5	40.8	2.210	36
2 2 0	40.5	2.228	34
1 1 2	22.3	3.985	31
1 0 1	14.9	5.942	31

Cell and atoms:
```
data_KTlPbI4
_cell_length_a 6.3043
_cell_length_b 6.3043
_cell_length_c 17.7907
_cell_angle_alpha 90.00
_cell_angle_beta 90.00
_cell_angle_gamma 90.00
_symmetry_space_group_name_H-M 'I 4 m m'
_symmetry_Int_Tables_number 107
_symmetry_space_group_name_Hall 'I 4 -2'
loop_
_atom_site_label
_atom_site_fract_x
_atom_site_fract_y
_atom_site_fract_z
_atom_site_occupancy
K1 0.0000 0.0000 0.0000 1
Tl1 0.0000 0.0000 0.7304 1
Pb1 0.0000 0.0000 0.3677 1
I1 0.0000 0.0000 0.1933 1
I2 0.0000 0.0000 0.5524 1
I3 0.0000 0.5000 0.3760 1
```

9.
This entry pairs a crystal structure of ScU2NbN4 with its theoretical X-ray diffraction stick pattern. Radiation: Cu Kα. Structure: a structure optimized by DFT (GGA-PBE).
Neutral-atom scattering factors, no anomalous dispersion.

Most intense lines, 2θ = 5–70°, in order of falling intensity:
hkl	Position (°2θ)	d [Å]	I/Imax
2 0 0	33.3	2.692	100
1 1 1	38.5	2.337	65
0 0 1	16.4	5.413	55
0 0 2	33.1	2.706	34
2 0 2	55.6	1.654	33
2 0 -2	38.7	2.329	32
3 1 1	66.5	1.406	30
1 1 0	31.8	2.813	26
3 1 -1	55.9	1.646	22
2 0 1	42.2	2.143	19

Cell and atoms:
```
data_ScU2NbN4
_cell_length_a 5.6946
_cell_length_b 3.3012
_cell_length_c 5.7331
_cell_angle_alpha 90.00
_cell_angle_beta 109.25
_cell_angle_gamma 90.00
_symmetry_space_group_name_H-M 'P 1 2/m 1'
_symmetry_Int_Tables_number 10
loop_
_symmetry_equiv_pos_as_xyz
'x,y,z'
'-x,-y,-z'
'-x,y,-z'
'x,-y,z'
loop_
_atom_site_label
_atom_site_fract_x
_atom_site_fract_y
_atom_site_fract_z
_atom_site_occupancy
Sc1 0.0000 0.0000 0.0000 1
U1 0.0000 0.5000 0.5000 1
U2 0.5000 0.0000 0.5000 1
Nb1 0.5000 0.5000 0.0000 1
N1 0.2450 0.5000 0.2342 1
N2 0.2556 0.0000 0.7671 1
```

10.
This entry pairs a crystal structure of SmTm2Ga6 with its theoretical X-ray diffraction stick pattern. Radiation: Cu Kα. Structure: a structure optimized by DFT (GGA-PBE).
Neutral-atom scattering factors, no anomalous dispersion.

Most intense lines, 2θ = 5–70°, in order of falling intensity:
hkl	Position (°2θ)	d [Å]	I/Imax
1 1 1	33.6	2.670	100
3 0 0	41.9	2.157	47
2 2 1	54.7	1.678	25
3 0 2	65.3	1.430	25
1 1 0	23.8	3.735	17
0 0 2	47.6	1.909	11
1 1 2	53.9	1.700	4
2 2 0	48.8	1.868	3
4 1 0	66.2	1.412	2

Cell and atoms:
```
data_SmTm2Ga6
_cell_length_a 7.4708
_cell_length_b 7.4708
_cell_length_c 3.8184
_cell_angle_alpha 90.00
_cell_angle_beta 90.00
_cell_angle_gamma 120.00
_symmetry_space_group_name_H-M 'P 6/m m m'
_symmetry_Int_Tables_number 191
_symmetry_space_group_name_Hall '-P 6 2'
loop_
_atom_site_label
_atom_site_fract_x
_atom_site_fract_y
_atom_site_fract_z
_atom_site_occupancy
Sm1 0.0000 0.0000 0.0000 1
Tm1 0.3333 0.6667 0.0000 1
Ga1 0.0000 0.3352 0.5000 1
```

11.
This entry pairs a crystal structure of Pr2Ho3 with its theoretical X-ray diffraction stick pattern. Radiation: Cu Kα. Structure: a structure optimized by DFT (GGA-PBE).
Neutral-atom scattering factors, no anomalous dispersion.

Most intense lines, 2θ = 5–70°, in order of falling intensity:
hkl	Position (°2θ)	d [Å]	I/Imax
1 1 1	30.3	2.945	100
3 1 -2	30.5	2.935	99
0 2 0	35.3	2.545	67
1 3 1	60.3	1.534	57
4 2 -1	50.7	1.800	48
4 0 -1	35.2	2.548	34
1 1 -4	60.2	1.538	29
2 2 2	63.1	1.473	12
6 2 -4	63.4	1.468	12
2 0 2	50.5	1.806	12

Cell and atoms:
```
data_Pr2Ho3
_cell_length_a 11.3717
_cell_length_b 5.0876
_cell_length_c 8.0424
_cell_angle_alpha 90.00
_cell_angle_beta 134.79
_cell_angle_gamma 90.00
_symmetry_space_group_name_H-M 'C 1 2/m 1'
_symmetry_Int_Tables_number 12
loop_
_symmetry_equiv_pos_as_xyz
'x,y,z'
'-x,-y,-z'
'-x,y,-z'
'x,-y,z'
'x+1/2,y+1/2,z'
'-x+1/2,-y+1/2,-z'
'-x+1/2,y+1/2,-z'
'x+1/2,-y+1/2,z'
loop_
_atom_site_label
_atom_site_fract_x
_atom_site_fract_y
_atom_site_fract_z
_atom_site_occupancy
Pr1 0.2017 0.0000 0.3002 1
Ho1 0.0000 0.0000 0.5000 1
Ho2 0.1020 0.5000 0.9020 1
```

12.
This entry pairs a crystal structure of TmPdAu with its theoretical X-ray diffraction stick pattern. Radiation: Cu Kα. Structure: a structure optimized by DFT (GGA-PBE).
Neutral-atom scattering factors, no anomalous dispersion.

Most intense lines, 2θ = 5–70°, in order of falling intensity:
hkl	Position (°2θ)	d [Å]	I/Imax
1 1 2	33.6	2.666	100
1 3 0	41.3	2.187	71
0 2 2	35.2	2.550	56
2 0 0	37.1	2.425	53
2 2 2	52.0	1.757	37
1 1 3	44.4	2.040	29
0 2 1	27.3	3.262	20
1 1 1	25.3	3.514	19
1 3 4	68.1	1.376	16
3 1 2	64.6	1.442	15

Cell and atoms:
```
data_TmPdAu
_cell_length_a 4.8491
_cell_length_b 7.3499
_cell_length_c 7.0841
_cell_angle_alpha 90.00
_cell_angle_beta 90.00
_cell_angle_gamma 90.00
_symmetry_space_group_name_H-M 'C m c 21'
_symmetry_Int_Tables_number 36
loop_
_symmetry_equiv_pos_as_xyz
'x,y,z'
'-x,-y,z+1/2'
'-x,y,z'
'x,-y,z+1/2'
'x+1/2,y+1/2,z'
'-x+1/2,-y+1/2,z+1/2'
'-x+1/2,y+1/2,z'
'x+1/2,-y+1/2,z+1/2'
loop_
_atom_site_label
_atom_site_fract_x
_atom_site_fract_y
_atom_site_fract_z
_atom_site_occupancy
Tm1 0.0000 0.0233 0.0000 1
Pd1 0.0000 0.3146 0.2986 1
Au1 0.0000 0.3277 0.7143 1
```